(1)
Computed powder diffraction line list
Compound: U2Ga8Ru
Radiation: CuKα
Structure: a DFT-relaxed cell (GGA-PBE, Alexandria)

Most intense lines, 10° ≤ 2θ ≤ 80°, in order of rising 2θ:
| 2theta | I/Imax |
| --- | --- |
| 20.6 | 41 |
| 32.0 | 24 |
| 33.6 | 37 |
| 38.3 | 100 |
| 40.9 | 15 |
| 41.9 | 53 |
| 59.9 | 20 |
| 60.7 | 17 |
| 74.1 | 29 |
| 75.6 | 12 |

Crystal structure
Cell: 4.3152 4.3152 11.0380 Å, 90.00 90.00 90.00°
Atoms (fractional coordinates):
U 0.0000 0.0000 0.1918
U 0.0000 0.0000 0.8082
Ga 0.0000 0.5000 0.0000
Ga 0.0000 0.5000 0.3770
Ga 0.0000 0.5000 0.6230
Ga 0.5000 0.0000 0.0000
Ga 0.5000 0.0000 0.3770
Ga 0.5000 0.0000 0.6230
Ga 0.5000 0.5000 0.1918
Ga 0.5000 0.5000 0.8082
Ru 0.0000 0.0000 0.5000

***

(2)
Computed powder diffraction line list
Compound: Tb2Sm5TmTh
Radiation: CuKα
Structure: a DFT-relaxed cell (GGA-PBE, Alexandria)

Most intense lines, 10° ≤ 2θ ≤ 80°, in order of rising 2θ:
| 2theta | I/Imax |
| --- | --- |
| 27.5 | 15 |
| 30.3 | 35 |
| 31.8 | 37 |
| 32.0 | 100 |
| 34.0 | 13 |
| 47.3 | 10 |
| 50.9 | 10 |
| 56.8 | 20 |
| 58.6 | 11 |
| 61.3 | 12 |

Crystal structure
Cell: 10.5942 10.5942 10.5462 Å, 90.00 90.00 149.21°
Atoms (fractional coordinates):
Tb 0.1128 0.8872 0.5000
Tb 0.1146 0.8854 0.0746
Tb 0.8854 0.1146 0.5746
Tb 0.8872 0.1128 0.0000
Sm 0.0140 0.9860 0.7816
Sm 0.2759 0.7241 0.0766
Sm 0.2944 0.7056 0.4687
Sm 0.3853 0.6147 0.7883
Sm 0.4820 0.5180 0.5081
Sm 0.5180 0.4820 0.0081
Sm 0.6147 0.3853 0.2883
Sm 0.7056 0.2944 0.9687
Sm 0.7241 0.2759 0.5766
Sm 0.9860 0.0140 0.2816
Tm 0.4053 0.5947 0.2235
Tm 0.5947 0.4053 0.7235
Th 0.1984 0.8016 0.7756
Th 0.8016 0.1984 0.2756

***

(3)
Computed powder diffraction line list
Compound: K3ThCl7
Radiation: CuKα
Structure: a DFT-relaxed cell (GGA-PBE, Alexandria)

Most intense lines, 10° ≤ 2θ ≤ 80°, in order of rising 2θ:
| 2theta | I/Imax |
| --- | --- |
| 12.6 | 52 |
| 13.3 | 100 |
| 13.9 | 65 |
| 20.2 | 26 |
| 21.6 | 78 |
| 21.9 | 54 |
| 33.3 | 27 |
| 34.3 | 46 |
| 35.3 | 26 |
| 36.4 | 40 |

Crystal structure
Cell: 7.3387 7.3387 8.4828 Å, 113.69 113.69 87.54°
Atoms (fractional coordinates):
K 0.0000 0.0000 0.0000
K 0.2597 0.7178 0.4704
K 0.7178 0.2597 0.4704
Th 0.5479 0.5479 0.0120
Cl 0.1748 0.5435 0.7482
Cl 0.3514 0.3514 0.1295
Cl 0.4013 0.8603 0.2259
Cl 0.5435 0.1748 0.7482
Cl 0.6476 0.6476 0.7689
Cl 0.8603 0.4013 0.2259
Cl 0.8693 0.8693 0.2557

***

(4)
Computed powder diffraction line list
Compound: CsHg2
Radiation: CuKα
Structure: a DFT-relaxed cell (GGA-PBE, Alexandria)

Most intense lines, 10° ≤ 2θ ≤ 80°, in order of rising 2θ:
| 2theta | I/Imax |
| --- | --- |
| 18.0 | 25 |
| 26.0 | 100 |
| 32.4 | 73 |
| 36.5 | 18 |
| 37.4 | 27 |
| 42.0 | 28 |
| 49.6 | 45 |
| 54.1 | 27 |
| 57.9 | 14 |
| 70.4 | 16 |

Crystal structure
Cell: 5.5190 5.5190 4.9246 Å, 90.00 90.00 120.00°
Atoms (fractional coordinates):
Cs 0.0000 0.0000 0.0000
Hg 0.3333 0.6667 0.5000
Hg 0.6667 0.3333 0.5000

***

(5)
Computed powder diffraction line list
Compound: CePrHg
Radiation: CuKα
Structure: a DFT-relaxed cell (GGA-PBE, Alexandria)

Most intense lines, 10° ≤ 2θ ≤ 80°, in order of rising 2θ:
| 2theta | I/Imax |
| --- | --- |
| 30.9 | 27 |
| 32.7 | 28 |
| 33.4 | 100 |
| 45.6 | 19 |
| 50.4 | 8 |
| 56.6 | 16 |
| 58.8 | 20 |
| 60.3 | 8 |
| 61.4 | 9 |
| 70.3 | 10 |

Crystal structure
Cell: 8.8772 8.8772 5.4793 Å, 90.00 90.00 156.45°
Atoms (fractional coordinates):
Ce 0.2489 0.7511 0.7500
Ce 0.7511 0.2489 0.2500
Pr 0.0724 0.9276 0.2500
Pr 0.9276 0.0724 0.7500
Hg 0.4031 0.5969 0.2500
Hg 0.5969 0.4031 0.7500

***

(6)
Computed powder diffraction line list
Compound: In2Pb
Radiation: CuKα
Structure: a DFT-relaxed cell (GGA-PBE, Alexandria)

Most intense lines, 10° ≤ 2θ ≤ 80°, in order of rising 2θ:
| 2theta | I/Imax |
| --- | --- |
| 31.9 | 100 |
| 35.2 | 19 |
| 35.9 | 18 |
| 39.8 | 15 |
| 51.1 | 13 |
| 54.1 | 11 |
| 61.1 | 15 |
| 62.0 | 15 |
| 66.7 | 12 |
| 67.3 | 12 |

Crystal structure
Cell: 8.0544 7.9834 3.3763 Å, 79.03 76.67 24.30°
Atoms (fractional coordinates):
In 0.1701 0.1701 0.8299
In 0.8299 0.8299 0.1701
Pb 0.5000 0.5000 0.5000

***

(7)
Computed powder diffraction line list
Compound: Ho6Ru5Rh
Radiation: CuKα
Structure: a DFT-relaxed cell (GGA-PBE, Alexandria)

Most intense lines, 10° ≤ 2θ ≤ 80°, in order of rising 2θ:
| 2theta | I/Imax |
| --- | --- |
| 26.2 | 2 |
| 26.3 | 5 |
| 37.5 | 100 |
| 37.6 | 20 |
| 46.4 | 2 |
| 54.0 | 7 |
| 54.2 | 14 |
| 61.2 | 2 |
| 67.7 | 14 |
| 67.8 | 28 |

Crystal structure
Cell: 7.5611 7.5611 6.7930 Å, 90.00 90.00 143.07°
Atoms (fractional coordinates):
Ho 0.0000 0.0000 0.2480
Ho 0.0000 0.0000 0.7520
Ho 0.3324 0.6676 0.2489
Ho 0.3324 0.6676 0.7511
Ho 0.6676 0.3324 0.2489
Ho 0.6676 0.3324 0.7511
Ru 0.1659 0.8341 0.0000
Ru 0.1662 0.8338 0.5000
Ru 0.5000 0.5000 0.0000
Ru 0.8341 0.1659 0.0000
Ru 0.8338 0.1662 0.5000
Rh 0.5000 0.5000 0.5000

***

(8)
Computed powder diffraction line list
Compound: La2Tb3Pr9
Radiation: CuKα
Structure: a DFT-relaxed cell (GGA-PBE, Alexandria)

Most intense lines, 10° ≤ 2θ ≤ 80°, in order of rising 2θ:
| 2theta | I/Imax |
| --- | --- |
| 25.8 | 28 |
| 29.5 | 43 |
| 30.1 | 79 |
| 32.2 | 100 |
| 32.3 | 23 |
| 34.3 | 22 |
| 35.4 | 24 |
| 52.1 | 30 |
| 52.7 | 20 |
| 59.0 | 19 |

Crystal structure
Cell: 9.2931 9.2931 13.8019 Å, 90.00 90.00 120.00°
Atoms (fractional coordinates):
La 0.3333 0.6667 0.1372
La 0.3333 0.6667 0.3628
La 0.6667 0.3333 0.6372
La 0.6667 0.3333 0.8628
Tb 0.0796 0.2475 0.2500
Tb 0.1678 0.9204 0.2500
Tb 0.2475 0.1678 0.7500
Tb 0.7525 0.8322 0.2500
Tb 0.8322 0.0796 0.7500
Tb 0.9204 0.7525 0.7500
Pr 0.0812 0.4839 0.7500
Pr 0.1265 0.7263 0.5378
Pr 0.1265 0.7263 0.9622
Pr 0.2737 0.4001 0.5378
Pr 0.2737 0.4001 0.9622
Pr 0.4001 0.1265 0.0378
Pr 0.4001 0.1265 0.4622
Pr 0.4027 0.9188 0.7500
Pr 0.4839 0.4027 0.2500
Pr 0.5161 0.5973 0.7500
Pr 0.5973 0.0812 0.2500
Pr 0.5999 0.8735 0.5378
Pr 0.5999 0.8735 0.9622
Pr 0.7263 0.5999 0.0378
Pr 0.7263 0.5999 0.4622
Pr 0.8735 0.2737 0.0378
Pr 0.8735 0.2737 0.4622
Pr 0.9188 0.5161 0.2500